No. 1
This entry pairs a crystal structure of Bi2OsO6 with its theoretical X-ray powder pattern. Radiation: copper Kα. Structure: a DFT-relaxed cell (GGA-PBE, Alexandria).
Kinematic intensities with the Lorentz-polarization factor, no thermal factor.

Largest 6 diffraction maxima, sorted by position, 2θ from 10° to 90°:
2θ (°), intensity
28.37, 100
31.45, 19
33.64, 16
48.20, 16
54.13, 19
56.98, 15

Atomic structure:
```
Bi2OsO6
1.0
2.6642 -8.5323 0.0000
2.6642 8.5323 0.0000
0.0000 0.0000 5.3516
Bi Os O
4 2 12
Direct
0.1722 0.8278 0.9791
0.3278 0.6722 0.4791
0.6722 0.3278 0.5209
0.8278 0.1722 0.0209
0.0000 0.0000 0.5000
0.5000 0.5000 0.0000
0.9999 0.5001 0.2500
0.0001 0.4999 0.7500
0.1121 0.8879 0.5643
0.2350 0.2650 0.7500
0.2650 0.2350 0.2500
0.3879 0.6121 0.0643
0.4999 0.0001 0.2500
0.5001 0.9999 0.7500
0.6121 0.3879 0.9357
0.7350 0.7650 0.7500
0.7650 0.7350 0.2500
0.8879 0.1121 0.4357
```

No. 2
This entry pairs a crystal structure of Bi2OsPbO8 with its theoretical X-ray powder pattern. Radiation: copper Kα. Structure: a DFT-relaxed cell (GGA-PBE, Alexandria).
Kinematic intensities with the Lorentz-polarization factor, no thermal factor.

Largest 6 diffraction maxima, sorted by position, 2θ from 10° to 90°:
2θ (°), intensity
23.67, 57
24.30, 56
31.39, 100
34.18, 34
46.73, 38
47.43, 40

Atomic structure:
```
Bi2OsPbO8
1.0
5.2472 0.0000 0.0000
0.0000 6.7892 0.0000
-0.1359 0.0000 5.2475
Bi Os Pb O
2 1 1 8
Direct
0.0000 0.2493 0.0000
0.0000 0.7507 0.0000
0.5000 0.0000 0.5000
0.5000 0.5000 0.5000
0.1869 0.5000 0.8163
0.2609 0.0000 0.7447
0.3205 0.2185 0.3245
0.3205 0.7815 0.3245
0.6795 0.2185 0.6755
0.6795 0.7815 0.6755
0.7391 0.0000 0.2553
0.8131 0.5000 0.1837
```